# 1
Simulated XRD peak list
Compound: RhC4NCl4O2
Radiation: Cu Ka
Structure: the PBE geometry in Alexandria
Intensities are scaled so that the largest is 100.

Main lines, in order of falling intensity (2θ = 10–90°):
- 17.2°, intensity 100
- 19.2°, intensity 49
- 19.5°, intensity 42
- 16.6°, intensity 33
- 19.7°, intensity 31
- 28.5°, intensity 26
- 32.7°, intensity 18
- 22.3°, intensity 18
- 37.6°, intensity 17
- 25.8°, intensity 16

Crystal structure
```
24
Lattice="6.2548 0.0000 0.0000 0.0000 9.1229 0.0000 0.0000 0.0000 10.3561" Properties=species:S:1:pos:R:3 pbc="T T T"
Rh 1.5637 2.2807 0.4855
Rh 4.6911 6.8422 9.8706
C 0.4374 6.8422 4.0752
C 1.5637 5.9377 3.8325
C 1.5637 7.7467 3.8325
C 2.6900 6.8422 4.0752
C 3.5648 2.2807 6.2809
C 4.6911 1.3763 6.5236
C 4.6911 3.1852 6.5236
C 5.8174 2.2807 6.2809
N 1.5637 6.8422 5.2063
N 4.6911 2.2807 5.1498
Cl 1.5637 2.2807 2.7267
Cl 1.5637 2.2807 6.2186
Cl 1.5637 4.6386 0.5904
Cl 1.5637 9.0458 0.5904
Cl 4.6911 0.0771 9.7657
Cl 4.6911 4.4844 9.7657
Cl 4.6911 6.8422 4.1375
Cl 4.6911 6.8422 7.6294
O 0.0062 6.8422 0.2837
O 3.1212 6.8422 0.2837
O 3.1336 2.2807 10.0724
O 6.2486 2.2807 10.0724
```

***

# 2
Simulated XRD peak list
Compound: SbCNCl4O
Radiation: Cu Ka
Structure: the PBE geometry in Alexandria
Intensities are scaled so that the largest is 100.

Main lines, in order of falling intensity (2θ = 10–90°):
- 16.7°, intensity 100
- 16.3°, intensity 36
- 14.5°, intensity 20
- 11.7°, intensity 17
- 32.9°, intensity 16
- 22.3°, intensity 15
- 44.1°, intensity 13
- 25.3°, intensity 12
- 40.1°, intensity 11
- 48.0°, intensity 11

Crystal structure
```
48
Lattice="12.1765 0.0000 0.0000 -6.0883 10.5452 0.0000 0.0000 0.0000 10.9003" Properties=species:S:1:pos:R:3 pbc="T T T"
Sb -3.5279 7.1719 2.7251
Sb 1.6412 3.9040 2.7251
Sb 4.2016 0.5306 8.1753
Sb 1.8867 10.0146 2.7251
Sb 4.4470 6.6412 8.1753
Sb 9.6162 3.3733 8.1753
C -0.3208 5.7156 2.7251
C -0.9780 7.9652 2.7251
C 1.2988 7.4096 2.7251
C 4.7895 3.1356 8.1753
C 7.0663 2.5800 8.1753
C 6.4091 4.8296 8.1753
N -1.3029 6.6329 2.7251
N 0.9954 6.1004 2.7251
N 0.3075 8.3570 2.7251
N 5.7808 2.1881 8.1753
N 5.0929 4.4448 8.1753
N 7.3911 3.9122 8.1753
Cl -0.6948 1.9720 8.1753
Cl -3.3149 7.2432 0.3772
Cl -3.3149 7.2432 5.0729
Cl -1.6862 5.5422 8.1753
Cl -4.0331 10.1609 8.1753
Cl 1.3604 1.5877 2.7251
Cl 1.4729 4.0528 0.3772
Cl 1.4729 4.0528 5.0729
Cl 4.2462 0.7508 5.8274
Cl 4.2462 0.7508 10.5231
Cl -0.4455 9.2343 8.1753
Cl 2.1317 6.3138 8.1753
Cl 3.9566 4.2314 2.7251
Cl 6.5338 1.3109 2.7251
Cl 1.8420 9.7944 0.3772
Cl 1.8420 9.7944 5.0729
Cl 4.6154 6.4924 5.8274
Cl 4.6154 6.4924 10.5231
Cl 4.7279 8.9575 8.1753
Cl 10.1214 0.3843 2.7251
Cl 7.7744 5.0030 2.7251
Cl 9.4032 3.3020 5.8274
Cl 9.4032 3.3020 10.5231
Cl 6.7830 8.5732 2.7251
O -0.5024 4.4489 2.7251
O -1.9842 8.7558 2.7251
O 3.6017 2.6596 8.1753
O 2.4866 7.8856 2.7251
O 8.0724 1.7894 8.1753
O 6.5907 6.0963 8.1753
```

***

# 3
Simulated XRD peak list
Compound: PbCSNCl
Radiation: Cu Ka
Structure: the PBE geometry in Alexandria
Intensities are scaled so that the largest is 100.

Main lines, in order of falling intensity (2θ = 10–90°):
- 24.3°, intensity 100
- 19.6°, intensity 68
- 38.3°, intensity 67
- 28.8°, intensity 54
- 33.9°, intensity 50
- 17.4°, intensity 42
- 12.3°, intensity 39
- 27.7°, intensity 37
- 36.6°, intensity 30
- 17.5°, intensity 27

Crystal structure
```
20
Lattice="10.1960 0.0000 0.0000 0.0000 4.2553 0.0000 0.0000 0.0000 10.1270" Properties=species:S:1:pos:R:3 pbc="T T T"
Pb 1.9799 1.0638 0.7444
Pb 3.1181 3.1915 5.8079
Pb 7.0779 1.0638 4.3192
Pb 8.2161 3.1915 9.3827
C 0.1953 1.0638 6.5133
C 4.9027 3.1915 1.4497
C 5.2933 1.0638 8.6773
C 10.0007 3.1915 3.6138
S 1.3648 3.1915 3.1310
S 3.7332 1.0638 8.1946
S 6.4628 3.1915 1.9325
S 8.8312 1.0638 6.9960
N 1.3262 1.0638 6.1489
N 3.7718 3.1915 1.0853
N 6.4242 1.0638 9.0417
N 8.8698 3.1915 3.9782
Cl 0.9978 3.1915 9.1405
Cl 4.1003 1.0638 4.0770
Cl 6.0958 3.1915 6.0500
Cl 9.1983 1.0638 0.9865
```

***

# 4
Simulated XRD peak list
Compound: Pm8C3NCl4
Radiation: Cu Ka
Structure: the PBE geometry in Alexandria
Intensities are scaled so that the largest is 100.

Main lines, in order of falling intensity (2θ = 10–90°):
- 32.5°, intensity 100
- 28.9°, intensity 80
- 48.9°, intensity 39
- 35.0°, intensity 34
- 63.7°, intensity 26
- 40.9°, intensity 23
- 12.5°, intensity 23
- 38.2°, intensity 19
- 44.2°, intensity 19
- 25.2°, intensity 18

Crystal structure
```
16
Lattice="3.7229 2.1494 7.0652 -3.7229 2.1494 7.0652 0.0000 -4.2988 7.0652" Properties=species:S:1:pos:R:3 pbc="T T T"
Pm 0.0000 0.0000 4.8891
Pm -1.8504 -1.0683 11.9373
Pm 0.0000 -2.1367 9.2583
Pm -1.8504 1.0683 9.2583
Pm 1.8504 -1.0683 11.9373
Pm 0.0000 2.1367 11.9373
Pm 1.8504 1.0683 9.2583
Pm 0.0000 0.0000 16.3066
C -3.7229 0.0000 10.5978
C -1.8614 1.0747 3.5326
C 1.8614 1.0747 3.5326
N 0.0000 0.0000 10.5978
Cl 0.0000 0.0000 0.0000
Cl -1.8614 -1.0747 7.0652
Cl -1.8614 1.0747 14.1304
Cl 0.0000 2.1494 7.0652
```

***

# 5
Simulated XRD peak list
Compound: Pr8C3NCl4
Radiation: Cu Ka
Structure: the PBE geometry in Alexandria
Intensities are scaled so that the largest is 100.

Main lines, in order of falling intensity (2θ = 10–90°):
- 31.9°, intensity 100
- 28.5°, intensity 77
- 62.4°, intensity 41
- 48.1°, intensity 38
- 34.3°, intensity 33
- 40.0°, intensity 22
- 12.2°, intensity 22
- 43.3°, intensity 20
- 37.3°, intensity 19
- 24.6°, intensity 18

Crystal structure
```
16
Lattice="3.7808 2.1829 7.2358 -3.7808 2.1829 7.2358 0.0000 -4.3657 7.2358" Properties=species:S:1:pos:R:3 pbc="T T T"
Pr 0.0000 0.0000 5.0142
Pr -1.8775 -1.0840 12.2325
Pr 0.0000 -2.1679 9.4750
Pr -1.8775 1.0840 9.4750
Pr 1.8775 -1.0840 12.2325
Pr 0.0000 2.1679 12.2325
Pr 1.8775 1.0840 9.4750
Pr 0.0000 0.0000 16.6933
C -3.7808 0.0000 10.8538
C -1.8904 1.0914 3.6179
C 1.8904 1.0914 3.6179
N 0.0000 0.0000 10.8538
Cl 0.0000 0.0000 0.0000
Cl -1.8904 -1.0914 7.2358
Cl -1.8904 1.0914 14.4717
Cl 0.0000 2.1828 7.2358
```

***

# 6
Simulated XRD peak list
Compound: Rb2PtC4N4Cl2
Radiation: Cu Ka
Structure: the PBE geometry in Alexandria
Intensities are scaled so that the largest is 100.

Main lines, in order of falling intensity (2θ = 10–90°):
- 18.7°, intensity 100
- 18.3°, intensity 95
- 23.7°, intensity 85
- 21.1°, intensity 57
- 14.4°, intensity 56
- 25.8°, intensity 45
- 30.5°, intensity 43
- 30.7°, intensity 39
- 13.3°, intensity 37
- 13.2°, intensity 36

Crystal structure
```
26
Lattice="6.9899 0.0000 0.0000 2.6034 9.1858 0.0000 2.4747 -0.0826 9.6896" Properties=species:S:1:pos:R:3 pbc="T T T"
Rb 1.5326 1.5002 0.4731
Rb 4.1998 3.2707 5.3768
Rb 7.8682 5.8324 4.3128
Rb 10.5355 7.6030 9.2164
Pt 1.2374 -0.0413 4.8448
Pt 4.7967 4.5929 0.0000
C 2.2923 0.5583 6.4589
C 4.5762 7.2809 5.0708
C 3.7751 4.5319 1.7435
C 7.1711 6.5256 9.6507
C 4.8970 2.5775 0.0389
C 8.2929 4.5713 7.9461
C 7.4919 1.8222 4.6188
C 9.7757 8.5449 3.2306
N 2.9152 0.9152 7.3834
N 3.1598 4.4634 2.7364
N 5.0049 6.2003 5.2023
N 7.1375 7.6946 9.6079
N 4.9305 1.4086 0.0816
N 7.0631 2.9029 4.4873
N 8.9082 4.6398 6.9531
N 9.1528 8.1879 2.3062
Cl 5.2040 4.3858 8.5344
Cl 3.0856 0.5136 3.4544
Cl 8.9824 8.5896 6.2352
Cl 6.8640 4.7173 1.1552
```

***

# 7
Simulated XRD peak list
Compound: SnCNCl3
Radiation: Cu Ka
Structure: the PBE geometry in Alexandria
Intensities are scaled so that the largest is 100.

Main lines, in order of falling intensity (2θ = 10–90°):
- 20.9°, intensity 100
- 14.1°, intensity 92
- 22.6°, intensity 45
- 27.4°, intensity 44
- 34.1°, intensity 44
- 22.0°, intensity 32
- 35.2°, intensity 32
- 36.5°, intensity 29
- 30.4°, intensity 28
- 26.1°, intensity 25

Crystal structure
```
12
Lattice="4.2929 0.0000 0.0000 0.0000 10.0255 0.0000 -3.5104 0.0000 8.0660" Properties=species:S:1:pos:R:3 pbc="T T T"
Sn 0.0000 1.4768 0.0000
Sn -1.7552 8.5487 4.0330
C 0.8449 3.2064 2.9798
C -0.9103 6.8191 7.0128
N 0.2274 3.0176 2.0034
N -1.5278 7.0079 6.0364
Cl -1.0901 3.1106 7.1839
Cl 0.6651 6.9149 3.1509
Cl 2.4321 0.1353 1.4891
Cl 0.6769 9.8902 5.5221
Cl 1.6776 3.4310 4.3333
Cl 3.4328 6.5945 0.3003
```

***

# 8
Simulated XRD peak list
Compound: ZnC2N6Cl4
Radiation: Cu Ka
Structure: the PBE geometry in Alexandria
Intensities are scaled so that the largest is 100.

Main lines, in order of falling intensity (2θ = 10–90°):
- 23.9°, intensity 100
- 11.4°, intensity 94
- 27.3°, intensity 83
- 13.5°, intensity 80
- 20.9°, intensity 70
- 17.4°, intensity 67
- 19.8°, intensity 56
- 26.3°, intensity 45
- 18.2°, intensity 45
- 26.4°, intensity 39

Crystal structure
```
26
Lattice="6.5676 0.0000 0.0000 0.4153 7.7746 0.0000 1.0504 1.2525 12.0386" Properties=species:S:1:pos:R:3 pbc="T T T"
Zn 0.4936 0.4041 1.4126
Zn 7.5398 8.6231 10.6261
C 1.6915 5.3883 0.0840
C 2.3236 5.8478 6.8765
C 5.7098 3.1794 5.1622
C 6.3418 3.6389 11.9546
N 0.9180 5.6665 7.0867
N 1.1413 6.5750 0.0997
N 2.4888 5.7654 11.1323
N 2.8012 6.9436 6.2936
N 3.0609 4.8182 7.2963
N 2.5825 4.8914 1.0819
N 5.4508 4.1358 10.9568
N 4.9724 4.2089 4.7424
N 5.2321 2.0836 5.7450
N 5.5446 3.2617 0.9063
N 6.8920 2.4522 11.9390
N 7.1153 3.3607 4.9520
Cl 1.5007 2.0717 5.3870
Cl 1.8515 1.5087 8.9968
Cl 2.2782 1.6650 1.4764
Cl 3.0798 5.8689 2.2919
Cl 4.9535 3.1582 9.7468
Cl 5.7551 7.3621 10.5622
Cl 6.1818 7.5185 3.0419
Cl 6.5327 6.9555 6.6516
```